For Er4B7, a cell relaxed with GGA-PBE gives the calculated PXRD pattern in this record (copper Kα).
Lines closer than 0.1° are merged.

Crystal structure
```
Er4B7
1.0
3.7084 0.0000 0.0000
0.0598 3.7308 0.0000
0.4938 1.4195 11.5567
Er B
4 7
Direct
0.0261 0.0591 0.3459
0.4589 0.3787 0.8631
0.5411 0.6213 0.1369
0.9739 0.9409 0.6541
0.0000 0.0000 0.0000
0.0476 0.1171 0.1243
0.2531 0.4999 0.5005
0.4818 0.4520 0.6273
0.5182 0.5480 0.3727
0.7469 0.5001 0.4995
0.9524 0.8829 0.8757
```

Peak list (10 most intense, 5° ≤ 2θ ≤ 70°, low angle first)
2θ 24.94, rel. 588
2θ 25.55, rel. 672
2θ 26.15, rel. 553
2θ 30.21, rel. 508
2θ 30.95, rel. 955
2θ 31.40, rel. 1000
2θ 32.85, rel. 912
2θ 34.04, rel. 934
2θ 34.26, rel. 662
2θ 34.43, rel. 942

---

For La2Nd2CCl5, a cell relaxed with GGA-PBE gives the calculated PXRD pattern in this record (copper Kα).
Lines closer than 0.1° are merged.

Crystal structure
```
La2Nd2CCl5
1.0
8.9357 -1.9742 0.0000
8.9357 1.9742 0.0000
-2.0869 0.0000 8.0258
La Nd C Cl
2 2 1 5
Direct
0.0022 0.0022 0.2844
0.9978 0.9978 0.7156
0.3546 0.3546 0.4131
0.6454 0.6454 0.5869
0.5000 0.5000 0.5000
0.1655 0.1655 0.8376
0.1732 0.1732 0.3557
0.5000 0.5000 0.0000
0.8268 0.8268 0.6443
0.8345 0.8345 0.1624
```

Peak list (10 most intense, 5° ≤ 2θ ≤ 70°, low angle first)
2θ 10.23, rel. 370
2θ 11.02, rel. 897
2θ 20.74, rel. 187
2θ 27.38, rel. 314
2θ 31.04, rel. 688
2θ 31.29, rel. 1000
2θ 34.47, rel. 179
2θ 44.31, rel. 259
2θ 44.97, rel. 290
2θ 56.49, rel. 199

---

For RbMgFe3Sb3, a cell relaxed with GGA-PBE gives the calculated PXRD pattern in this record (copper Kα).
Lines closer than 0.1° are merged.

Crystal structure
```
RbMgFe3Sb3
1.0
3.5723 0.0000 0.0000
0.0000 4.4603 0.0000
0.0000 0.0000 11.8264
Rb Mg Fe Sb
1 1 3 3
Direct
0.0000 0.0000 0.0000
0.5000 0.0000 0.6638
0.0000 0.5000 0.3683
0.0000 0.5000 0.6103
0.5000 0.0000 0.3190
0.0000 0.0000 0.4774
0.5000 0.5000 0.2045
0.5000 0.5000 0.7909
```

Peak list (10 most intense, 5° ≤ 2θ ≤ 70°, low angle first)
2θ 7.48, rel. 618
2θ 25.01, rel. 874
2θ 29.21, rel. 1000
2θ 32.10, rel. 215
2θ 39.59, rel. 554
2θ 40.45, rel. 400
2θ 43.30, rel. 262
2θ 44.67, rel. 593
2θ 50.65, rel. 592
2θ 51.14, rel. 198

---

For BeAl2Cu5, a cell relaxed with GGA-PBE gives the calculated PXRD pattern in this record (copper Kα).
Lines closer than 0.1° are merged.

Crystal structure
```
BeAl2Cu5
1.0
-2.8401 2.8401 5.8379
2.8401 -2.8401 5.8379
2.8401 2.8401 -5.8379
Be Al Cu
2 4 10
Direct
0.3750 0.6250 0.7500
0.6250 0.3750 0.2500
0.1135 0.3635 0.7500
0.3635 0.1135 0.2500
0.6365 0.8865 0.7500
0.8865 0.6365 0.2500
0.0000 0.2740 0.2740
0.0000 0.7260 0.7260
0.1250 0.8750 0.2500
0.2740 0.0000 0.7740
0.2740 0.5000 0.2740
0.5000 0.2740 0.7740
0.5000 0.7260 0.2260
0.7260 0.0000 0.2260
0.7260 0.5000 0.7260
0.8750 0.1250 0.7500
```

Peak list (10 most intense, 5° ≤ 2θ ≤ 70°, low angle first)
2θ 27.79, rel. 76
2θ 30.63, rel. 102
2θ 31.50, rel. 169
2θ 36.19, rel. 108
2θ 44.51, rel. 1000
2θ 45.15, rel. 469
2θ 48.72, rel. 56
2θ 55.54, rel. 59
2θ 63.76, rel. 116
2θ 65.76, rel. 132

---

For Pr3In2NiHgAu2, a cell relaxed with GGA-PBE gives the calculated PXRD pattern in this record (copper Kα).
Lines closer than 0.1° are merged.

Crystal structure
```
Pr3In2NiHgAu2
1.0
4.0653 0.0000 0.0000
0.0000 6.7888 3.9535
0.0000 -6.7888 3.9535
Pr In Ni Hg Au
3 2 1 1 2
Direct
0.0000 0.0000 0.0000
0.0000 0.1889 0.5848
0.0000 0.5848 0.1889
0.5000 0.5929 0.8303
0.5000 0.8303 0.5929
0.0000 0.6038 0.6038
0.5000 0.3468 0.3468
0.5000 0.2559 0.9145
0.5000 0.9145 0.2559
```

Peak list (10 most intense, 5° ≤ 2θ ≤ 70°, low angle first)
2θ 31.57, rel. 287
2θ 31.68, rel. 1000
2θ 34.29, rel. 762
2θ 34.67, rel. 291
2θ 34.90, rel. 440
2θ 39.57, rel. 260
2θ 39.84, rel. 175
2θ 41.55, rel. 320
2θ 44.58, rel. 304
2θ 57.83, rel. 206

---

For NaYAgSe3, a cell relaxed with GGA-PBE gives the calculated PXRD pattern in this record (copper Kα).
Lines closer than 0.1° are merged.

Crystal structure
```
NaYAgSe3
1.0
2.0023 -7.0713 0.0000
2.0023 7.0713 0.0000
0.0000 0.0000 10.6250
Na Y Ag Se
2 2 2 6
Direct
0.2364 0.7636 0.7500
0.7636 0.2364 0.2500
0.0000 0.0000 0.0000
0.0000 0.0000 0.5000
0.4707 0.5293 0.2500
0.5293 0.4707 0.7500
0.0921 0.9079 0.2500
0.3599 0.6401 0.0560
0.3599 0.6401 0.4440
0.6401 0.3599 0.5560
0.6401 0.3599 0.9440
0.9079 0.0921 0.7500
```

Peak list (10 most intense, 5° ≤ 2θ ≤ 70°, low angle first)
2θ 12.52, rel. 849
2θ 28.18, rel. 227
2θ 30.47, rel. 481
2θ 33.74, rel. 288
2θ 33.87, rel. 1000
2θ 36.12, rel. 169
2θ 42.68, rel. 367
2θ 45.29, rel. 242
2θ 46.96, rel. 192
2θ 52.47, rel. 227